Computed powder diffraction line list of Cd2In3Br7 for Cu Kα, from the GGA-PBE geometry in Alexandria.

Structural model:
abc: 5.590 27.015 5.515
angles: 90.00 90.00 90.00
Space group Cmmm (No. 65)
Unique sites:
Cd1 0.000 0.105 0.000 x4
In1 0.000 0.326 0.500 x4
In2 0.000 0.500 0.500 x2
Br1 0.000 0.000 0.000 x2
Br2 0.000 0.096 0.500 x4
Br3 0.000 0.202 0.000 x4
Br4 0.000 0.404 0.000 x4

Main lines, by intensity (10° ≤ 2θ ≤ 90°):
- hkl 1 5 1, 28.1 deg, rel. 100
- hkl 0 0 2, 32.5 deg, rel. 64
- hkl 2 0 0, 32.0 deg, rel. 57
- hkl 1 1 1, 22.9 deg, rel. 41
- hkl 2 0 2, 46.3 deg, rel. 40
- hkl 0 10 0, 33.2 deg, rel. 31

---

Computed powder diffraction line list of PuBeCd2O6 for Cu Kα, from the GGA-PBE geometry in Alexandria.

Structural model:
abc: 6.141 6.192 9.038
angles: 90.00 127.37 90.00
Space group P2_1/c (No. 14)
Unique sites:
Pu1 0.000 0.000 0.000 x2
Be1 0.500 0.000 0.500 x2
Cd1 0.303 0.050 0.751 x4
O1 0.064 0.202 0.458 x4
O2 0.251 0.613 0.445 x4
O3 0.386 0.048 0.305 x4

Main lines, by intensity (10° ≤ 2θ ≤ 90°):
- hkl 1 1 1, 31.3 deg, rel. 100
- hkl 0 1 1, 18.9 deg, rel. 95
- hkl 1 0 -2, 19.9 deg, rel. 73
- hkl 1 1 -3, 33.4 deg, rel. 68
- hkl 0 2 0, 28.8 deg, rel. 61
- hkl 2 0 -2, 29.2 deg, rel. 57

---

Computed powder diffraction line list of SmGd2Lu for Cu Kα, from the GGA-PBE geometry in Alexandria.

Structural model:
abc: 5.028 5.028 5.041
angles: 90.00 90.00 90.00
Space group P4/mmm (No. 123)
Unique sites:
Sm1 0.000 0.000 0.000 x1
Gd1 0.000 0.500 0.500 x2
Lu1 0.500 0.500 0.000 x1

Main lines, by intensity (10° ≤ 2θ ≤ 90°):
- hkl 1 1 1, 30.8 deg, rel. 100
- hkl 2 0 0, 35.7 deg, rel. 51
- hkl 2 2 0, 51.4 deg, rel. 36
- hkl 3 1 1, 61.1 deg, rel. 29
- hkl 1 1 3, 61.0 deg, rel. 14
- hkl 2 2 2, 64.1 deg, rel. 12

---

Computed powder diffraction line list of LiCu2Tc for Cu Kα, from the GGA-PBE geometry in Alexandria.

Structural model:
abc: 2.480 4.457 4.711
angles: 90.00 90.00 90.00
Space group Pmm2 (No. 25)
Unique sites:
Li1 0.000 0.000 0.000 x1
Cu1 0.500 0.000 0.498 x1
Cu2 0.500 0.500 0.141 x1
Tc1 0.000 0.500 0.637 x1

Main lines, by intensity (10° ≤ 2θ ≤ 90°):
- hkl 1 1 1, 46.1 deg, rel. 100
- hkl 0 1 2, 43.5 deg, rel. 46
- hkl 0 2 0, 40.5 deg, rel. 44
- hkl 0 1 0, 19.9 deg, rel. 43
- hkl 0 0 1, 18.8 deg, rel. 42
- hkl 1 0 1, 41.1 deg, rel. 26

---

Computed powder diffraction line list of Mg3B7BrO13 for Cu Kα, from the GGA-PBE geometry in Alexandria.

Structural model:
abc: 12.197 12.197 12.197
angles: 90.00 90.00 90.00
Space group F-43c (No. 219)
Unique sites:
Mg1 0.000 0.000 0.250 x24
B1 0.000 0.250 0.250 x24
B2 0.169 0.169 0.169 x32
Br1 0.000 0.000 0.000 x8
O1 0.069 0.153 0.229 x96
O2 0.250 0.250 0.250 x8

Main lines, by intensity (10° ≤ 2θ ≤ 90°):
- hkl 4 2 0, 32.8 deg, rel. 100
- hkl 4 0 0, 29.3 deg, rel. 87
- hkl 5 3 1, 43.9 deg, rel. 49
- hkl 4 4 0, 41.9 deg, rel. 49
- hkl 4 2 2, 36.1 deg, rel. 42
- hkl 2 2 2, 25.3 deg, rel. 34

---

Computed powder diffraction line list of Np2UF11 for Cu Kα, from the GGA-PBE geometry in Alexandria.

Structural model:
abc: 8.436 10.585 11.257
angles: 90.00 90.00 90.00
Space group Ibam (No. 72)
Unique sites:
Np1 0.146 0.181 0.000 x8
U1 0.000 0.500 0.250 x4
F1 0.000 0.000 0.000 x4
F2 0.088 0.328 0.142 x16
F3 0.129 0.216 0.500 x8
F4 0.216 0.431 0.361 x16

Main lines, by intensity (10° ≤ 2θ ≤ 90°):
- hkl 1 1 2, 20.7 deg, rel. 100
- hkl 0 2 2, 23.1 deg, rel. 78
- hkl 2 1 1, 24.0 deg, rel. 75
- hkl 1 2 1, 21.3 deg, rel. 52
- hkl 3 3 2, 44.2 deg, rel. 45
- hkl 3 1 0, 33.0 deg, rel. 35

---

Computed powder diffraction line list of AcDyHo2Tm4 for Cu Kα, from the GGA-PBE geometry in Alexandria.

Structural model:
abc: 5.045 5.067 10.038
angles: 90.00 90.00 90.00
Space group Pmmm (No. 47)
Unique sites:
Ac1 0.000 0.000 0.000 x1
Dy1 0.500 0.500 0.500 x1
Ho1 0.000 0.000 0.500 x1
Ho2 0.500 0.500 0.000 x1
Tm1 0.000 0.500 0.259 x2
Tm2 0.500 0.000 0.259 x2

Main lines, by intensity (10° ≤ 2θ ≤ 90°):
- hkl 1 1 2, 30.7 deg, rel. 100
- hkl 0 2 0, 35.4 deg, rel. 17
- hkl 2 0 0, 35.6 deg, rel. 17
- hkl 0 0 4, 35.8 deg, rel. 16
- hkl 1 3 2, 60.7 deg, rel. 15
- hkl 3 1 2, 60.9 deg, rel. 14

---

Computed powder diffraction line list of CaNpF6 for Cu Kα, from the GGA-PBE geometry in Alexandria.

Structural model:
abc: 5.343 5.343 8.579
angles: 90.00 90.00 90.00
Space group P4_2/m (No. 84)
Unique sites:
Ca1 0.000 0.000 0.250 x2
Np1 0.500 0.500 0.000 x2
F1 0.203 0.787 0.000 x4
F2 0.276 0.711 0.334 x8

Main lines, by intensity (10° ≤ 2θ ≤ 90°):
- hkl 1 0 2, 26.7 deg, rel. 100
- hkl 1 0 0, 16.6 deg, rel. 85
- hkl 1 1 0, 23.5 deg, rel. 82
- hkl 2 1 2, 43.3 deg, rel. 71
- hkl 1 1 2, 31.6 deg, rel. 36
- hkl 0 0 2, 20.7 deg, rel. 24